# 1
Starting from the PBE geometry in the Materials Project, the X-ray powder pattern of UReB3 was calculated for Cu Kα (λ = 1.5418 Å).
Peak positions follow from Bragg's law for the DFT cell and can differ from measured ones.

Cell and atoms:
```
UReB3
1.0
5.0736 0.0000 0.0000
-2.5368 4.3939 0.0000
0.0000 0.0000 5.1226
U Re B
2 2 6
Direct
0.3333 0.6667 0.2500 U
0.6667 0.3333 0.7500 U
0.0000 0.0000 0.0000 Re
0.0000 0.0000 0.5000 Re
0.2197 0.4394 0.7500 B
0.2197 0.7803 0.7500 B
0.4394 0.2197 0.2500 B
0.5606 0.7803 0.7500 B
0.7803 0.2197 0.2500 B
0.7803 0.5606 0.2500 B
```

Most intense lines, 15 to 90 degrees two-theta, by angle:
Position (°2θ), d/Å, I (rel.)
26.73, 3.335, 80
35.38, 2.537, 100
40.78, 2.213, 73
44.89, 2.019, 27
55.07, 1.668, 32
58.42, 1.580, 23
63.52, 1.465, 18
67.18, 1.393, 31
84.81, 1.143, 18
88.94, 1.100, 18

---

# 2
Starting from the PBE geometry in the Materials Project, the X-ray powder pattern of Ca3Ta2O8 was calculated for Cu Kα (λ = 1.5418 Å).
Peak positions follow from Bragg's law for the DFT cell and can differ from measured ones.

Cell and atoms:
```
Ca3Ta2O8
1.0
3.4308 -6.3630 0.0000
3.4308 6.3630 0.0000
0.0000 0.0000 9.3073
Ca Ta O
6 4 16
Direct
0.0000 0.0000 0.0000 Ca
0.1094 0.3906 0.2500 Ca
0.3906 0.1094 0.7500 Ca
0.5000 0.5000 0.5000 Ca
0.6094 0.8906 0.2500 Ca
0.8906 0.6094 0.7500 Ca
0.1163 0.8837 0.3817 Ta
0.3837 0.6163 0.8817 Ta
0.6163 0.3837 0.1183 Ta
0.8837 0.1163 0.6183 Ta
0.0006 0.9994 0.7484 O
0.1064 0.3361 0.5021 O
0.1639 0.3936 0.9979 O
0.2429 0.7571 0.2789 O
0.2571 0.7429 0.7789 O
0.3361 0.1064 0.4979 O
0.3936 0.1639 0.0021 O
0.4994 0.5006 0.2484 O
0.5006 0.4994 0.7516 O
0.6064 0.8361 0.9979 O
0.6639 0.8936 0.5021 O
0.7429 0.2571 0.2211 O
0.7571 0.2429 0.7211 O
0.8361 0.6064 0.0021 O
0.8936 0.6639 0.4979 O
0.9994 0.0006 0.2516 O
```

Most intense lines, 15 to 90 degrees two-theta, by angle:
Position (°2θ), d/Å, I (rel.)
16.88, 5.253, 44
17.50, 5.066, 88
24.14, 3.686, 100
26.49, 3.364, 53
28.05, 3.182, 40
31.14, 2.872, 89
31.37, 2.851, 63
32.10, 2.789, 52
38.96, 2.312, 36
55.80, 1.647, 50